Entry 1:
For CeVO3, a PBE+U-relaxed structure gives the simulated X-ray powder pattern in this record (Cu Kα).

Crystal structure
```
data_CeVO3
_cell_length_a 5.799
_cell_length_b 7.837
_cell_length_c 5.436
_cell_angle_alpha 90.00
_cell_angle_beta 90.00
_cell_angle_gamma 90.00
_space_group_name_H-M_alt 'P n m a'
_space_group_IT_number 62
_space_group_name_Hall '-P 2ac 2n'
loop_
_atom_site_label
_atom_site_fract_x
_atom_site_fract_y
_atom_site_fract_z
Ce1 0.069 0.250 0.020
V1 0.000 0.000 0.500
O1 0.046 0.750 0.381
O2 0.194 0.560 0.811
```

The 6 most intense peaks (2θ from 15° to 90°), most intense first:
| two_theta | d (Å) | Rel. int. |
| --- | --- | --- |
| 32.11 | 2.788 | 100.0 |
| 32.95 | 2.719 | 37.8 |
| 25.17 | 3.539 | 23.4 |
| 58.31 | 1.582 | 22.3 |
| 51.51 | 1.774 | 20.8 |
| 22.42 | 3.966 | 20.6 |


Entry 2:
For CeW2O8, a PBE+U-relaxed structure gives the simulated X-ray powder pattern in this record (Cu Kα).

Crystal structure
```
data_CeW2O8
_cell_length_a 12.148
_cell_length_b 8.297
_cell_length_c 7.914
_cell_angle_alpha 90.00
_cell_angle_beta 122.38
_cell_angle_gamma 90.00
_space_group_name_H-M_alt 'C 1 2/c 1'
_space_group_IT_number 15
_space_group_name_Hall '-C 2yc'
loop_
_atom_site_label
_atom_site_fract_x
_atom_site_fract_y
_atom_site_fract_z
Ce1 0.000 0.035 0.250
W1 0.216 0.277 0.768
O1 0.099 0.121 0.585
O2 0.132 0.458 0.675
O3 0.155 0.205 0.286
O4 0.156 0.168 0.941
```

The 6 most intense peaks (2θ from 15° to 90°), most intense first:
| two_theta | d (Å) | Rel. int. |
| --- | --- | --- |
| 27.65 | 3.226 | 100.0 |
| 26.68 | 3.342 | 55.7 |
| 24.47 | 3.638 | 43.3 |
| 31.40 | 2.849 | 35.9 |
| 45.16 | 2.008 | 27.6 |
| 17.29 | 5.130 | 26.8 |


Entry 3:
For CeW2O8, a PBE+U-relaxed structure gives the simulated X-ray powder pattern in this record (Cu Kα).

Crystal structure
```
data_CeW2O8
_cell_length_a 9.682
_cell_length_b 9.682
_cell_length_c 9.682
_cell_angle_alpha 90.00
_cell_angle_beta 90.00
_cell_angle_gamma 90.00
_space_group_name_H-M_alt 'P 21 3'
_space_group_IT_number 198
_space_group_name_Hall 'P 2ac 2ab 3'
loop_
_atom_site_label
_atom_site_fract_x
_atom_site_fract_y
_atom_site_fract_z
Ce1 0.248 0.252 0.748
W1 0.091 0.091 0.091
W2 0.150 0.650 0.850
O1 0.013 0.487 0.513
O2 0.031 0.192 0.679
O3 0.038 0.695 0.314
O4 0.244 0.244 0.244
```

The 6 most intense peaks (2θ from 15° to 90°), most intense first:
| two_theta | d (Å) | Rel. int. |
| --- | --- | --- |
| 20.51 | 4.330 | 100.0 |
| 22.50 | 3.952 | 77.2 |
| 30.63 | 2.919 | 44.7 |
| 34.67 | 2.587 | 32.7 |
| 48.88 | 1.863 | 32.2 |
| 26.03 | 3.423 | 30.1 |


Entry 4:
For MgCoH16Cl4O8, a PBE+U-relaxed structure gives the simulated X-ray powder pattern in this record (Cu Kα).

Crystal structure
```
data_MgCoH16Cl4O8
_cell_length_a 6.398
_cell_length_b 10.339
_cell_length_c 10.775
_cell_angle_alpha 70.68
_cell_angle_beta 79.98
_cell_angle_gamma 86.28
_space_group_name_H-M_alt 'P -1'
_space_group_IT_number 2
_space_group_name_Hall '-P 1'
loop_
_atom_site_label
_atom_site_fract_x
_atom_site_fract_y
_atom_site_fract_z
Mg1 0.000 0.000 0.000
Mg2 0.000 0.500 0.500
Co1 0.500 0.000 0.500
Co2 0.500 0.500 0.000
H1 0.036 0.241 0.468
H2 0.038 0.741 0.968
H3 0.112 0.420 0.139
H4 0.112 0.919 0.640
H5 0.174 0.465 0.727
H6 0.175 0.965 0.226
H7 0.204 0.234 0.975
H8 0.205 0.734 0.474
H9 0.223 0.333 0.682
H10 0.223 0.833 0.182
H11 0.273 0.308 0.208
H12 0.274 0.806 0.707
H13 0.343 0.530 0.299
H14 0.344 0.032 0.799
H15 0.392 0.413 0.429
H16 0.393 0.913 0.929
Cl1 0.228 0.602 0.851
Cl2 0.229 0.103 0.350
Cl3 0.468 0.201 0.580
Cl4 0.469 0.701 0.079
O1 0.060 0.194 0.002
O2 0.061 0.694 0.503
O3 0.124 0.411 0.678
O4 0.125 0.911 0.178
O5 0.261 0.406 0.154
O6 0.262 0.904 0.653
O7 0.308 0.496 0.396
O8 0.308 0.996 0.896
```

The 6 most intense peaks (2θ from 15° to 90°), most intense first:
| two_theta | d (Å) | Rel. int. |
| --- | --- | --- |
| 21.24 | 4.184 | 100.0 |
| 35.30 | 2.543 | 71.9 |
| 17.68 | 5.017 | 65.5 |
| 32.26 | 2.775 | 65.3 |
| 31.53 | 2.838 | 59.0 |
| 16.25 | 5.455 | 45.5 |